(1)
Computed X-ray diffraction stick pattern of NaScSeS for a wavelength of 1.5418 Å, from a cell relaxed with PBE.

Atomic structure:
a b c (Å): 3.8533 3.8533 20.3840
angles (deg): 90.00 90.00 120.00
Space group R3m (No. 160, hexagonal axes)
Unique sites:
Na (0.0000, 0.0000, 0.0000)
Sc (0.0000, 0.0000, 0.5075)
Se (0.0000, 0.0000, 0.7640)
S (0.0000, 0.0000, 0.2422)

Peak list (10 most intense, 2θ from 10° to 90°, by angle)
index  2θ/deg  d [Å]  I/Imax
0 0 3  13.03  6.795  32
1 0 1  27.08  3.293  12
1 0 4  32.06  2.792  100
1 0 7  41.14  2.194  9
0 1 8  44.75  2.025  33
1 1 0  47.17  1.927  33
0 2 4  58.18  1.586  16
2 0 8  67.05  1.396  9
1 1 12  74.46  1.274  11
2 1 4  78.05  1.224  13

(2)
Computed X-ray diffraction stick pattern of NaThSc4S8 for a wavelength of 1.5418 Å, from a cell relaxed with PBE.

Atomic structure:
a b c (Å): 7.6839 7.6839 19.7057
angles (deg): 90.00 90.00 120.00
Space group R3m (No. 160, hexagonal axes)
Unique sites:
Na (0.0000, 0.0000, 0.0000)
Th (0.0000, 0.0000, 0.3649)
Sc (0.0000, 0.0000, 0.7381)
Sc (0.0109, 0.5054, 0.8690)
S (0.0000, 0.0000, 0.1328)
S (0.0000, 0.0000, 0.6084)
S (0.0081, 0.5040, 0.1246)
S (0.1778, 0.3557, 0.9411)

Peak list (10 most intense, 2θ from 10° to 90°, by angle)
index  2θ/deg  d [Å]  I/Imax
1 0 1  14.05  6.305  100
0 1 2  16.07  5.515  41
1 1 0  23.15  3.842  36
0 1 5  26.28  3.391  39
1 1 3  26.88  3.316  81
0 2 4  32.47  2.757  74
2 1 1  35.99  2.496  29
1 2 5  42.64  2.120  27
2 0 8  45.84  1.980  39
2 2 0  47.32  1.921  38

(3)
Computed X-ray diffraction stick pattern of Na2ScUS6 for a wavelength of 1.5418 Å, from a cell relaxed with PBE.

Atomic structure:
a b c (Å): 6.7921 7.1577 11.7816
angles (deg): 90.00 124.20 90.00
Space group P2_1/c (No. 14)
Unique sites:
Na (0.2224, 0.0666, 0.2461)
Sc (0.0000, 0.0000, 0.5000)
U (0.5000, 0.0000, 0.0000)
S (0.1545, 0.2065, 0.9480)
S (0.2444, 0.7090, 0.9466)
S (0.3546, 0.0258, 0.7501)

Peak list (10 most intense, 2θ from 10° to 90°, by angle)
index  2θ/deg  d [Å]  I/Imax
0 1 1  15.36  5.769  61
1 0 0  15.78  5.618  26
1 0 -2  16.04  5.526  30
1 1 -1  18.01  4.927  100
0 0 2  18.21  4.872  46
1 1 1  25.55  3.486  38
1 1 -3  25.88  3.443  37
2 1 -1  30.41  2.940  27
2 2 -2  36.48  2.463  40
2 2 0  40.81  2.211  31

(4)
Computed X-ray diffraction stick pattern of Na2SeS5 for a wavelength of 1.5418 Å, from a cell relaxed with PBE.

Atomic structure:
a b c (Å): 4.5932 6.9522 8.7354
angles (deg): 105.83 90.19 97.04
Space group P1 (No. 1)
Unique sites:
Na (0.0000, 0.0000, 0.0000)
Na (0.0101, 0.0262, 0.5989)
Se (0.6031, 0.6339, 0.7308)
S (0.0394, 0.3575, 0.8830)
S (0.2933, 0.0280, 0.3038)
S (0.4407, 0.5129, 0.9371)
S (0.4865, 0.9452, 0.7836)
S (0.7228, 0.0276, 0.3037)

Peak list (10 most intense, 2θ from 10° to 90°, by angle)
index  2θ/deg  d [Å]  I/Imax
0 0 1  10.53  8.398  100
0 1 -1  14.56  6.083  32
0 1 1  19.20  4.623  62
0 0 2  21.16  4.199  30
1 -1 0  22.21  4.002  23
0 2 0  26.88  3.317  28
1 0 2  29.48  3.030  21
1 1 -2  29.95  2.983  21
0 2 -3  35.84  2.505  23
0 1 -4  41.43  2.180  34

(5)
Computed X-ray diffraction stick pattern of Na3SeS3 for a wavelength of 1.5418 Å, from a cell relaxed with PBE.

Atomic structure:
a b c (Å): 9.2301 15.9638 5.6086
angles (deg): 90.00 90.00 90.00
Space group Cmcm (No. 63)
Unique sites:
Na (0.0000, 0.1689, 0.2500)
Na (0.2459, 0.4157, 0.2500)
Se (0.0000, 0.3331, 0.7500)
S (0.0000, 0.1832, 0.7500)
S (0.2241, 0.4082, 0.7500)

Peak list (10 most intense, 2θ from 10° to 90°, by angle)
index  2θ/deg  d [Å]  I/Imax
1 1 1  19.34  4.590  100
2 2 0  22.26  3.994  79
0 4 1  27.42  3.253  13
0 0 2  31.91  2.804  41
2 4 1  33.71  2.658  27
2 6 0  39.06  2.306  62
2 2 2  39.26  2.295  33
1 7 1  43.94  2.060  15
2 6 2  51.30  1.781  53
3 7 1  52.53  1.742  19

(6)
Computed X-ray diffraction stick pattern of NaTiSeS for a wavelength of 1.5418 Å, from a cell relaxed with PBE.

Atomic structure:
a b c (Å): 3.6312 3.6312 20.9750
angles (deg): 90.00 90.00 120.00
Space group R3m (No. 160, hexagonal axes)
Unique sites:
Na (0.0000, 0.0000, 0.0000)
Ti (0.0000, 0.0000, 0.8232)
Se (0.0000, 0.0000, 0.2309)
S (0.0000, 0.0000, 0.4242)

Peak list (10 most intense, 2θ from 10° to 90°, by angle)
index  2θ/deg  d [Å]  I/Imax
0 0 3  12.66  6.992  56
1 0 1  28.71  3.110  19
0 1 2  29.66  3.012  32
1 0 4  33.22  2.697  22
0 1 5  35.68  2.516  100
1 0 7  41.63  2.169  23
1 1 0  50.25  1.816  39
1 0 10  52.42  1.746  30
2 0 5  63.15  1.472  17
0 2 10  75.53  1.259  19

(7)
Computed X-ray diffraction stick pattern of Na2TlSeS for a wavelength of 1.5418 Å, from a cell relaxed with PBE.

Atomic structure:
a b c (Å): 4.6034 4.6034 6.6152
angles (deg): 90.00 90.00 90.00
Space group P4mm (No. 99)
Unique sites:
Na (0.0000, 0.5000, 0.0000)
Tl (0.0000, 0.0000, 0.5832)
Se (0.5000, 0.5000, 0.6979)
S (0.0000, 0.0000, 0.1979)

Peak list (10 most intense, 2θ from 10° to 90°, by angle)
index  2θ/deg  d [Å]  I/Imax
0 0 1  13.38  6.615  87
1 0 0  19.28  4.603  47
1 0 1  23.54  3.779  46
0 0 2  26.96  3.308  28
1 1 0  27.40  3.255  60
1 1 1  30.61  2.921  100
1 0 2  33.36  2.686  41
1 1 2  38.82  2.320  41
2 0 0  39.14  2.302  44
1 0 3  45.62  1.989  34

(8)
Computed X-ray diffraction stick pattern of Na4SiS4 for a wavelength of 1.5418 Å, from a cell relaxed with PBE.

Atomic structure:
a b c (Å): 7.8989 7.8989 6.4160
angles (deg): 90.00 90.00 90.00
Space group P4_2/nmc (No. 137, origin choice 2)
Unique sites:
Na (0.0199, 0.2500, 0.1082)
Si (0.2500, 0.7500, 0.2500)
S (0.0304, 0.7500, 0.4466)

Peak list (10 most intense, 2θ from 10° to 90°, by angle)
index  2θ/deg  d [Å]  I/Imax
1 1 0  15.87  5.585  33
1 0 1  17.81  4.980  24
2 0 1  26.50  3.363  22
2 1 1  28.85  3.094  32
1 0 2  30.07  2.972  51
2 2 0  32.05  2.793  100
2 1 2  37.88  2.375  51
3 1 1  38.68  2.328  26
2 2 2  42.94  2.106  48
4 0 0  45.97  1.974  59

(9)
Computed X-ray diffraction stick pattern of Na2SiTeS4 for a wavelength of 1.5418 Å, from a cell relaxed with PBE.

Atomic structure:
a b c (Å): 5.6447 6.3619 6.3833
angles (deg): 109.17 94.00 106.23
Space group P1 (No. 1)
Unique sites:
Na (0.0000, 0.0000, 0.0000)
Na (0.4221, 0.4405, 0.7898)
Si (0.5884, 0.9950, 0.5006)
Te (0.8758, 0.5359, 0.4646)
S (0.3404, 0.8407, 0.6867)
S (0.4313, 0.1815, 0.3375)
S (0.7050, 0.7448, 0.2400)
S (0.8870, 0.2610, 0.7514)

Peak list (10 most intense, 2θ from 10° to 90°, by angle)
index  2θ/deg  d [Å]  I/Imax
0 0 1  14.93  5.933  100
1 0 0  16.62  5.333  40
1 -1 0  18.80  4.720  31
1 0 -1  20.31  4.372  28
1 1 -1  25.64  3.475  28
-1 1 1  25.75  3.460  81
1 -2 1  30.05  2.974  52
1 1 1  34.55  2.596  38
0 2 -2  34.87  2.573  23
2 -1 2  44.84  2.021  26

(10)
Computed X-ray diffraction stick pattern of NaYSiS4 for a wavelength of 1.5418 Å, from a cell relaxed with PBE.

Atomic structure:
a b c (Å): 6.4032 6.5856 7.9645
angles (deg): 90.00 105.71 90.00
Space group P2_1/m (No. 11)
Unique sites:
Na (0.2461, 0.2500, 0.4370)
Y (0.2755, 0.2500, 0.9460)
Si (0.2630, 0.7500, 0.1848)
S (0.0602, 0.7500, 0.3522)
S (0.0800, 0.7500, 0.9187)
S (0.4867, 0.5009, 0.2294)

Peak list (10 most intense, 2θ from 10° to 90°, by angle)
index  2θ/deg  d [Å]  I/Imax
0 0 1  11.54  7.667  100
0 1 1  17.75  4.996  31
0 2 0  27.08  3.293  31
1 2 0  30.79  2.904  27
2 0 -2  31.95  2.801  25
1 1 2  33.57  2.669  47
2 1 -2  34.81  2.577  41
0 2 2  35.95  2.498  27
1 2 -2  36.35  2.472  29
2 2 0  40.07  2.250  27

(11)
Computed X-ray diffraction stick pattern of NaSm5S8 for a wavelength of 1.5418 Å, from a cell relaxed with PBE.

Atomic structure:
a b c (Å): 8.4991 8.4991 8.5005
angles (deg): 90.00 90.00 90.00
Space group I-4 (No. 82)
Unique sites:
Na (0.0000, 0.0000, 0.0000)
Sm (0.0000, 0.5000, 0.7500)
Sm (0.1305, 0.7469, 0.3716)
S (0.0737, 0.8184, 0.6885)
S (0.0748, 0.6734, 0.0503)

Peak list (10 most intense, 2θ from 10° to 90°, by angle)
index  2θ/deg  d [Å]  I/Imax
1 1 0  14.74  6.010  22
2 1 1  25.67  3.470  99
1 3 0  33.34  2.688  100
1 2 3  39.68  2.272  66
4 0 2  47.86  1.901  39
2 3 3  50.36  1.812  25
3 1 4  55.10  1.667  33
1 6 1  67.99  1.379  37
1 5 4  72.00  1.312  15
7 2 1  83.60  1.157  27

(12)
Computed X-ray diffraction stick pattern of NaSn3S for a wavelength of 1.5418 Å, from a cell relaxed with PBE.

Atomic structure:
a b c (Å): 5.4370 5.4370 5.4370
angles (deg): 90.00 90.00 90.00
Space group Pm-3m (No. 221)
Unique sites:
Na (0.0000, 0.0000, 0.0000)
Sn (0.0000, 0.5000, 0.5000)
S (0.5000, 0.5000, 0.5000)

Peak list (10 most intense, 2θ from 10° to 90°, by angle)
index  2θ/deg  d [Å]  I/Imax
1 0 0  16.30  5.437  39
1 1 1  28.43  3.139  100
2 0 0  32.95  2.719  73
2 1 0  36.97  2.432  20
2 2 0  47.29  1.922  53
3 1 1  56.10  1.639  47
2 2 2  58.84  1.570  19
3 3 1  76.35  1.247  20
4 2 0  78.71  1.216  25
4 2 2  88.00  1.110  20